Diffraction record for PrY7Mg4. The PXRD pattern is computed, not measured: it uses a cell relaxed with GGA-PBE and Cu Kα (weighted mean of Kα1 and Kα2).
Peak positions follow from Bragg's law for the DFT cell and can differ from measured ones.

Crystal structure
Cell lengths 15.142, 5.777, 9.801 Å; angles 90.00, 121.94, 90.00 degrees
Space group C2/m (No. 12)
Inequivalent atoms, fractional coordinates:
1 Pr 0.000 0.000 0.000
2 Y 0.000 0.500 0.000
3 Y 0.079 0.000 0.424
4 Y 0.205 0.000 0.878
5 Y 0.246 0.500 0.705
6 Mg 0.041 0.500 0.698
7 Mg 0.176 0.500 0.344

Top 10 peaks for 2θ = 10–80°, in order of rising 2θ:
- 16.83 deg, d = 5.269 Å, I = 37.9
- 23.84 deg, d = 3.733 Å, I = 46.0
- 29.38 deg, d = 3.040 Å, I = 58.1
- 30.13 deg, d = 2.967 Å, I = 70.7
- 30.96 deg, d = 2.888 Å, I = 100.0
- 31.19 deg, d = 2.867 Å, I = 53.7
- 31.70 deg, d = 2.823 Å, I = 70.3
- 34.30 deg, d = 2.614 Å, I = 75.5
- 43.21 deg, d = 2.094 Å, I = 39.7
- 44.52 deg, d = 2.035 Å, I = 39.4

=====

Diffraction record for Ba3PbAu. The PXRD pattern is computed, not measured: it uses a cell relaxed with GGA-PBE and Cu Kα (weighted mean of Kα1 and Kα2).
Peak positions follow from Bragg's law for the DFT cell and can differ from measured ones.

Crystal structure
Cell lengths 11.501, 16.898, 4.670 Å; angles 90.00, 90.00, 90.00 degrees
Space group Cmmm (No. 65)
Inequivalent atoms, fractional coordinates:
1 Ba 0.000 0.161 0.000
2 Ba 0.190 0.386 0.500
3 Pb 0.000 0.000 0.500
4 Pb 0.000 0.500 0.000
5 Au 0.250 0.250 0.000

Top 10 peaks for 2θ = 10–80°, in order of rising 2θ:
- 18.67 deg, d = 4.754 Å, I = 71.1
- 21.75 deg, d = 4.087 Å, I = 43.2
- 25.97 deg, d = 3.431 Å, I = 100.0
- 28.49 deg, d = 3.133 Å, I = 36.2
- 30.63 deg, d = 2.919 Å, I = 43.1
- 31.11 deg, d = 2.875 Å, I = 32.0
- 32.55 deg, d = 2.751 Å, I = 80.4
- 35.49 deg, d = 2.530 Å, I = 59.3
- 38.56 deg, d = 2.335 Å, I = 37.6
- 53.40 deg, d = 1.716 Å, I = 37.1

=====

Diffraction record for Ce4SmN4. The PXRD pattern is computed, not measured: it uses a cell relaxed with GGA-PBE and Cu Kα (weighted mean of Kα1 and Kα2).
Peak positions follow from Bragg's law for the DFT cell and can differ from measured ones.

Crystal structure
Cell lengths 7.961, 7.961, 5.062 Å; angles 90.00, 90.00, 90.00 degrees
Space group I4/m (No. 87)
Inequivalent atoms, fractional coordinates:
1 Ce 0.105 0.307 0.000
2 Sm 0.000 0.000 0.500
3 N 0.097 0.305 0.500

Top 10 peaks for 2θ = 10–80°, in order of rising 2θ:
- 30.70 deg, d = 2.912 Å, I = 100.0
- 35.47 deg, d = 2.531 Å, I = 23.5
- 35.66 deg, d = 2.517 Å, I = 45.9
- 51.18 deg, d = 1.785 Å, I = 32.0
- 51.33 deg, d = 1.780 Å, I = 15.6
- 60.74 deg, d = 1.525 Å, I = 14.9
- 61.00 deg, d = 1.519 Å, I = 29.0
- 63.94 deg, d = 1.456 Å, I = 15.8
- 75.06 deg, d = 1.266 Å, I = 2.5
- 75.53 deg, d = 1.259 Å, I = 4.7

=====

Diffraction record for Ce4Co2As. The PXRD pattern is computed, not measured: it uses a cell relaxed with GGA-PBE and Cu Kα (weighted mean of Kα1 and Kα2).
Peak positions follow from Bragg's law for the DFT cell and can differ from measured ones.

Crystal structure
Cell lengths 8.939, 8.939, 7.752 Å; angles 90.00, 90.00, 90.00 degrees
Space group I-42d (No. 122)
Inequivalent atoms, fractional coordinates:
1 Ce 0.078 0.186 0.329
2 Co 0.128 0.250 0.625
3 As 0.000 0.000 0.000

Top 10 peaks for 2θ = 10–80°, in order of rising 2θ:
- 30.53 deg, d = 2.928 Å, I = 39.3
- 31.65 deg, d = 2.827 Å, I = 100.0
- 32.18 deg, d = 2.781 Å, I = 82.3
- 36.18 deg, d = 2.482 Å, I = 58.8
- 38.11 deg, d = 2.361 Å, I = 59.4
- 39.45 deg, d = 2.284 Å, I = 51.3
- 51.05 deg, d = 1.789 Å, I = 22.1
- 52.53 deg, d = 1.742 Å, I = 34.6
- 57.67 deg, d = 1.598 Å, I = 23.9
- 64.51 deg, d = 1.445 Å, I = 25.6